Structure and simulated powder diffraction line list of AcLaNi2H6 (DFT lattice parameters and positions (PBE); copper Kα).

Structural model:
abc: 7.1736 7.1736 7.1736
angles: 38.80 38.80 38.80
Sites, in units of the cell vectors:
Ac 0.0000 0.0000 0.0000
La 0.5000 0.5000 0.5000
Ni 0.2467 0.2467 0.2467
Ni 0.7533 0.7533 0.7533
H 0.0968 0.5501 0.5501
H 0.4499 0.4499 0.9032
H 0.4499 0.9032 0.4499
H 0.5501 0.0968 0.5501
H 0.5501 0.5501 0.0968
H 0.9032 0.4499 0.4499

Peak list (12 most intense, 10° ≤ 2θ ≤ 90°, low angle first)
| 2θ (°) | I/Imax |
| --- | --- |
| 23.34 | 33 |
| 28.11 | 100 |
| 37.75 | 46 |
| 42.47 | 33 |
| 46.98 | 11 |
| 47.72 | 23 |
| 58.11 | 13 |
| 62.40 | 21 |
| 68.17 | 8 |
| 69.06 | 15 |
| 71.40 | 14 |
| 87.44 | 8 |